The following is a theoretical powder X-ray diffraction pattern of CeDy2Ti. It was derived from a cell relaxed with PBE, using λ = 1.5418 Å (Cu Kα).
No peak broadening, texture or thermal motion is included.

Structure:
```
CeDy2Ti
1.0
1.6514 0.9534 11.6129
-1.6514 0.9534 11.6129
0.0000 -1.9069 11.6129
Ce Dy Ti
1 2 1
Direct
0.0000 0.0000 0.0000 Ce
0.4157 0.4157 0.4157 Dy
0.5843 0.5843 0.5843 Dy
0.5000 0.5000 0.5000 Ti
```

Largest 10 diffraction maxima, in order of rising 2θ, 2θ from 10° to 90°:
5.806 Å, rel. 27
2.903 Å, rel. 78
2.851 Å, rel. 30
2.822 Å, rel. 100
2.646 Å, rel. 99
2.480 Å, rel. 78
2.211 Å, rel. 56
1.877 Å, rel. 27
1.651 Å, rel. 44
1.435 Å, rel. 54